Mn4P2O9: calculated PXRD pattern (a wavelength of 1.5418 Å), based on the GGA+U geometry in Alexandria.
No peak broadening, texture or thermal motion is included.

Cell: 6.7693 11.7109 9.6483 Å, 90.00 103.51 90.00°
Fractional coordinates of all 60 atoms:
1 Mn 0.0334 0.1297 0.3188
2 Mn 0.0334 0.3703 0.8188
3 Mn 0.2630 0.1193 0.7482
4 Mn 0.2630 0.3807 0.2482
5 Mn 0.3153 0.6040 0.4648
6 Mn 0.3153 0.8960 0.9648
7 Mn 0.4578 0.6034 0.1193
8 Mn 0.4578 0.8966 0.6193
9 Mn 0.5422 0.1034 0.3807
10 Mn 0.5422 0.3966 0.8807
11 Mn 0.6847 0.1040 0.0352
12 Mn 0.6847 0.3960 0.5352
13 Mn 0.7370 0.6193 0.7518
14 Mn 0.7370 0.8807 0.2518
15 Mn 0.9666 0.6297 0.1812
16 Mn 0.9666 0.8703 0.6812
17 P 0.2043 0.1733 0.0729
18 P 0.2043 0.3267 0.5729
19 P 0.2624 0.6305 0.8129
20 P 0.2624 0.8695 0.3129
21 P 0.7376 0.1305 0.6871
22 P 0.7376 0.3695 0.1871
23 P 0.7957 0.6733 0.4271
24 P 0.7957 0.8267 0.9271
25 O 0.0062 0.1120 0.0797
26 O 0.0062 0.3880 0.5797
27 O 0.0444 0.6688 0.7435
28 O 0.0444 0.8312 0.2435
29 O 0.1750 0.2030 0.5144
30 O 0.1750 0.2970 0.0144
31 O 0.2531 0.5577 0.2340
32 O 0.2531 0.9423 0.7340
33 O 0.2730 0.5099 0.8884
34 O 0.2730 0.9901 0.3884
35 O 0.3165 0.1921 0.2342
36 O 0.3165 0.3079 0.7342
37 O 0.3342 0.0986 0.9926
38 O 0.3342 0.4014 0.4926
39 O 0.3597 0.7125 0.9385
40 O 0.3597 0.7875 0.4385
41 O 0.3933 0.6247 0.7002
42 O 0.3933 0.8753 0.2002
43 O 0.6067 0.1247 0.7998
44 O 0.6067 0.3753 0.2998
45 O 0.6403 0.2125 0.5615
46 O 0.6403 0.2875 0.0615
47 O 0.6658 0.5986 0.5074
48 O 0.6658 0.9014 0.0074
49 O 0.6835 0.6921 0.2658
50 O 0.6835 0.8079 0.7658
51 O 0.7270 0.0099 0.6116
52 O 0.7270 0.4901 0.1116
53 O 0.7469 0.0577 0.2660
54 O 0.7469 0.4423 0.7660
55 O 0.8250 0.7030 0.9856
56 O 0.8250 0.7970 0.4856
57 O 0.9556 0.1688 0.7565
58 O 0.9556 0.3312 0.2565
59 O 0.9938 0.6120 0.4203
60 O 0.9938 0.8880 0.9203

The 6 most intense peaks (2θ from 15° to 90°), sorted by position:
2θ/deg  Rel. int.  hkl
29.57  56  0 1 3
30.28  68  2 1 -2
30.53  100  0 4 0
30.68  43  2 2 -1
32.46  60  0 2 3
34.50  27  2 2 1